[1]
Simulated powder XRD pattern of UCrPtO6 for Cu Kα X-rays, from a DFT-relaxed cell (PBE+U, Alexandria).
Peak positions follow from Bragg's law for the DFT cell and can differ from measured ones.

Structure:
Lattice parameters (Å, degrees): 5.250 5.250 9.171 90.00 90.00 120.00
Positions (direct):
U 0.333 0.667 0.250
U 0.667 0.333 0.750
Cr 0.000 0.000 0.000
Cr 0.000 0.000 0.500
Pt 0.333 0.667 0.750
Pt 0.667 0.333 0.250
O 0.009 0.332 0.625
O 0.009 0.677 0.875
O 0.323 0.332 0.875
O 0.323 0.991 0.625
O 0.332 0.009 0.125
O 0.332 0.323 0.375
O 0.668 0.677 0.625
O 0.668 0.991 0.875
O 0.677 0.009 0.375
O 0.677 0.668 0.125
O 0.991 0.323 0.125
O 0.991 0.668 0.375

Largest 10 diffraction maxima, by intensity, 15° ≤ 2θ ≤ 90°:
2θ 27.63, I = 100
2θ 39.56, I = 86
2θ 34.16, I = 74
2θ 19.36, I = 73
2θ 53.03, I = 64
2θ 19.52, I = 37
2θ 44.48, I = 28
2θ 57.25, I = 26
2θ 61.15, I = 24
2θ 64.78, I = 19

[2]
Simulated powder XRD pattern of Pu2CrO11 for Cu Kα X-rays, from a DFT-relaxed cell (PBE+U, Alexandria).
Peak positions follow from Bragg's law for the DFT cell and can differ from measured ones.

Structure:
Lattice parameters (Å, degrees): 7.544 7.788 9.338 101.97 104.69 109.16
Positions (direct):
Pu 0.000 0.000 0.000
Pu 0.140 0.687 0.492
Pu 0.420 0.473 0.984
Pu 0.733 0.254 0.540
Cr 0.239 0.243 0.558
Cr 0.562 0.112 0.101
O 0.015 0.586 0.287
O 0.069 0.077 0.206
O 0.138 0.259 0.994
O 0.147 0.003 0.493
O 0.229 0.433 0.497
O 0.280 0.596 0.898
O 0.291 0.805 0.692
O 0.319 0.980 0.044
O 0.373 0.316 0.769
O 0.421 0.843 0.432
O 0.477 0.272 0.502
O 0.479 0.623 0.181
O 0.583 0.340 0.074
O 0.589 0.927 0.549
O 0.677 0.162 0.309
O 0.695 0.037 0.007
O 0.751 0.713 0.990
O 0.777 0.327 0.747
O 0.899 0.551 0.537
O 0.915 0.683 0.004
O 0.919 0.904 0.794
O 0.975 0.214 0.581

Largest 10 diffraction maxima, by intensity, 15° ≤ 2θ ≤ 90°:
2θ 17.24, I = 100
2θ 20.74, I = 94
2θ 17.93, I = 86
2θ 24.31, I = 65
2θ 25.02, I = 50
2θ 21.81, I = 47
2θ 28.62, I = 45
2θ 23.39, I = 34
2θ 45.30, I = 24
2θ 37.12, I = 23

[3]
Simulated powder XRD pattern of PuCrO4 for Cu Kα X-rays, from a DFT-relaxed cell (PBE+U, Alexandria).
Peak positions follow from Bragg's law for the DFT cell and can differ from measured ones.

Structure:
Lattice parameters (Å, degrees): 4.737 4.737 3.350 90.00 90.00 90.26
Positions (direct):
Pu 0.000 0.000 0.000
Cr 0.500 0.500 0.500
O 0.202 0.798 0.500
O 0.314 0.314 0.000
O 0.686 0.686 0.000
O 0.798 0.202 0.500

Largest 10 diffraction maxima, by intensity, 15° ≤ 2θ ≤ 90°:
2θ 32.75, I = 100
2θ 18.73, I = 83
2θ 26.57, I = 72
2θ 37.98, I = 63
2θ 26.67, I = 54
2θ 51.08, I = 39
2θ 50.94, I = 37
2θ 61.88, I = 24
2θ 65.34, I = 22
2θ 62.02, I = 21

[4]
Simulated powder XRD pattern of PuCrO5 for Cu Kα X-rays, from a DFT-relaxed cell (PBE+U, Alexandria).
Peak positions follow from Bragg's law for the DFT cell and can differ from measured ones.

Structure:
Lattice parameters (Å, degrees): 6.215 6.377 7.017 108.21 96.78 110.73
Positions (direct):
Pu 0.000 0.000 0.000
Pu 0.000 0.500 0.500
Cr 0.433 0.252 0.360
Cr 0.567 0.748 0.640
O 0.025 0.640 0.783
O 0.102 0.973 0.255
O 0.322 0.415 0.564
O 0.335 0.822 0.564
O 0.352 0.216 0.085
O 0.648 0.784 0.915
O 0.665 0.178 0.436
O 0.678 0.585 0.436
O 0.898 0.027 0.745
O 0.975 0.360 0.217

Largest 10 diffraction maxima, by intensity, 15° ≤ 2θ ≤ 90°:
2θ 16.71, I = 100
2θ 15.78, I = 41
2θ 23.40, I = 38
2θ 29.60, I = 22
2θ 20.77, I = 20
2θ 34.89, I = 19
2θ 25.15, I = 17
2θ 31.87, I = 16
2θ 27.70, I = 16
2θ 28.17, I = 13

[5]
Simulated powder XRD pattern of Rb3Pu3CrO8 for Cu Kα X-rays, from a DFT-relaxed cell (PBE+U, Alexandria).
Peak positions follow from Bragg's law for the DFT cell and can differ from measured ones.

Structure:
Lattice parameters (Å, degrees): 6.924 6.924 7.697 116.57 116.57 60.94
Positions (direct):
Rb 0.000 0.000 0.000
Rb 0.000 0.500 0.000
Rb 0.500 0.000 0.000
Pu 0.000 0.500 0.500
Pu 0.500 0.000 0.500
Pu 0.500 0.500 0.500
Cr 0.000 0.000 0.500
O 0.208 0.208 0.654
O 0.230 0.708 0.668
O 0.273 0.273 0.321
O 0.292 0.770 0.332
O 0.708 0.230 0.668
O 0.727 0.727 0.679
O 0.770 0.292 0.332
O 0.792 0.792 0.346

Largest 10 diffraction maxima, by intensity, 15° ≤ 2θ ≤ 90°:
2θ 34.76, I = 100
2θ 30.92, I = 85
2θ 27.11, I = 68
2θ 35.19, I = 48
2θ 31.30, I = 41
2θ 47.58, I = 35
2θ 17.18, I = 31
2θ 52.90, I = 31
2θ 29.87, I = 27
2θ 23.30, I = 22